Theoretical powder X-ray diffraction pattern of Zn2Si for copper Kα, from a crystal structure in Alexandria, relaxed with PBE.

Principal peaks in the range 10° ≤ 2θ ≤ 80°, by angle:
h k l  2theta  Rel. int.
1 1 0  25.0  8
0 2 1  26.4  7
1 3 0  32.2  5
1 3 1  39.4  100
0 6 0  43.2  16
0 0 2  45.2  18
2 0 0  49.0  19
0 6 2  64.3  9
2 6 0  67.3  8
2 0 2  68.8  9
1 9 1  76.6  8
1 3 3  79.6  12

```
data_Zn2Si
_chemical_formula_sum 'Zn8 Si4'
_symmetry_space_group_name_H-M 'C m c m'
_symmetry_Int_Tables_number 63
_symmetry_space_group_name_Hall '-C 2c 2'
_cell_length_a 3.7214
_cell_length_b 12.5742
_cell_length_c 4.0092
_cell_angle_alpha 90.00
_cell_angle_beta 90.00
_cell_angle_gamma 90.00
loop_
_atom_site_label
_atom_site_type_symbol
_atom_site_fract_x
_atom_site_fract_y
_atom_site_fract_z
Zn1 Zn 0.0000 0.0710 0.2500
Zn2 Zn 0.0000 0.2593 0.7500
Si1 Si 0.0000 0.3994 0.2500
```

Theoretical powder X-ray diffraction pattern of Li5Cu5Sb2O12 for copper Kα, from a crystal structure in Alexandria, relaxed with PBE.

Principal peaks in the range 10° ≤ 2θ ≤ 80°, by angle:
h k l  2theta  Rel. int.
0 0 2  18.0  80
0 2 0  20.4  55
1 1 1  20.8  88
1 1 -3  32.5  25
2 0 -2  35.7  51
1 3 1  36.0  52
0 0 4  36.4  26
2 0 2  36.8  80
1 3 -3  44.2  100
3 3 -1  58.3  45
1 3 5  59.3  34
2 0 -6  64.2  28

```
data_Li5Cu5Sb2O12
_chemical_formula_sum 'Li10 Cu10 Sb4 O24'
_symmetry_space_group_name_H-M 'C 1 2 1'
_symmetry_Int_Tables_number 5
_symmetry_space_group_name_Hall 'C 2y'
_cell_length_a 5.7420
_cell_length_b 8.6980
_cell_length_c 9.8870
_cell_angle_alpha 90.00
_cell_angle_beta 91.98
_cell_angle_gamma 90.00
loop_
_atom_site_label
_atom_site_type_symbol
_atom_site_fract_x
_atom_site_fract_y
_atom_site_fract_z
Li1 Li 0.0000 0.0000 0.0000
Li2 Li 0.2361 0.8233 0.2434
Li3 Li 0.2414 0.9883 0.7547
Cu1 Cu 0.0000 0.3185 0.0000
Cu2 Cu 0.0000 0.4973 0.5000
Cu3 Cu 0.0000 0.8228 0.5000
Cu4 Cu 0.2460 0.1556 0.2485
Sb1 Sb 0.0000 0.1613 0.5000
Sb2 Sb 0.0000 0.6598 0.0000
O1 O 0.0985 0.0013 0.3677
O2 O 0.1030 0.3245 0.3733
O3 O 0.1046 0.8109 0.8631
O4 O 0.1141 0.4902 0.8790
O5 O 0.1810 0.6593 0.4027
O6 O 0.1828 0.1611 0.9018
```

Theoretical powder X-ray diffraction pattern of Sm6Ni2AuI3 for copper Kα, from a crystal structure in Alexandria, relaxed with PBE.

Principal peaks in the range 10° ≤ 2θ ≤ 80°, by angle:
h k l  2theta  Rel. int.
0 0 1  11.1  12
1 3 1  28.9  100
1 3 -2  31.0  14
0 0 3  33.8  8
2 0 -3  36.2  11
2 0 2  39.1  26
0 6 0  43.3  37
1 3 -4  48.9  8
4 0 0  52.9  17
3 3 -4  56.0  10
4 0 -4  59.8  8
5 3 -3  70.7  13

```
data_Sm6Ni2AuI3
_chemical_formula_sum 'Sm12 Ni4 Au2 I6'
_symmetry_space_group_name_H-M 'C 1 2/m 1'
_symmetry_Int_Tables_number 12
_symmetry_space_group_name_Hall '-C 2y'
_cell_length_a 7.2362
_cell_length_b 12.5270
_cell_length_c 8.3184
_cell_angle_alpha 90.00
_cell_angle_beta 106.90
_cell_angle_gamma 90.00
loop_
_atom_site_label
_atom_site_type_symbol
_atom_site_fract_x
_atom_site_fract_y
_atom_site_fract_z
Sm1 Sm 0.2064 0.0000 0.1851
Sm2 Sm 0.2397 0.3224 0.1861
Ni1 Ni 0.0000 0.1668 0.0000
Au1 Au 0.0000 0.5000 0.0000
I1 I 0.0000 0.0000 0.5000
I2 I 0.0000 0.3354 0.5000
```

Theoretical powder X-ray diffraction pattern of Cu3O4 for copper Kα, from a crystal structure in Alexandria, relaxed with PBE.

Principal peaks in the range 10° ≤ 2θ ≤ 80°, by angle:
h k l  2theta  Rel. int.
1 1 0  17.1  94
0 2 0  24.1  19
2 0 0  24.5  14
2 2 0  34.7  74
0 2 2  38.2  100
2 0 2  38.4  36
1 3 2  49.1  16
4 0 0  50.3  27
0 0 4  60.4  15
2 4 2  64.2  39
4 2 2  64.8  36
2 2 4  71.6  17

```
data_Cu3O4
_chemical_formula_sum 'Cu12 O16'
_symmetry_space_group_name_H-M 'I b a m'
_symmetry_Int_Tables_number 72
_symmetry_space_group_name_Hall '-I 2 2c'
_cell_length_a 7.2602
_cell_length_b 7.3848
_cell_length_c 6.1278
_cell_angle_alpha 90.00
_cell_angle_beta 90.00
_cell_angle_gamma 90.00
loop_
_atom_site_label
_atom_site_type_symbol
_atom_site_fract_x
_atom_site_fract_y
_atom_site_fract_z
Cu1 Cu 0.0000 0.0000 0.0000
Cu2 Cu 0.2500 0.2500 0.2500
O1 O 0.0000 0.1766 0.2500
O2 O 0.2373 0.3985 0.0000
```

Theoretical powder X-ray diffraction pattern of Pm2PrErMg for copper Kα, from a crystal structure in Alexandria, relaxed with PBE.

Principal peaks in the range 10° ≤ 2θ ≤ 80°, by angle:
h k l  2theta  Rel. int.
1 1 0  21.7  12
1 0 2  28.5  22
1 0 -3  28.8  13
0 2 0  31.5  37
2 1 -1  32.7  100
1 1 -3  32.9  46
1 2 2  43.0  15
3 0 1  50.4  10
2 3 -1  56.8  21
3 2 1  60.6  12
0 2 5  61.0  11
3 2 -4  61.1  10

```
data_Pm2PrErMg
_chemical_formula_sum 'Pm4 Pr2 Er2 Mg2'
_symmetry_space_group_name_H-M 'P 1 21/m 1'
_symmetry_Int_Tables_number 11
_symmetry_space_group_name_Hall '-P 2yb'
_cell_length_a 6.2456
_cell_length_b 5.6882
_cell_length_c 9.4761
_cell_angle_alpha 90.00
_cell_angle_beta 108.58
_cell_angle_gamma 90.00
loop_
_atom_site_label
_atom_site_type_symbol
_atom_site_fract_x
_atom_site_fract_y
_atom_site_fract_z
Pm1 Pm 0.0467 0.2500 0.3017
Pm2 Pm 0.1236 0.7500 0.1083
Pr1 Pr 0.4641 0.2500 0.1120
Er1 Er 0.3412 0.7500 0.5018
Mg1 Mg 0.2734 0.2500 0.6905
```

Theoretical powder X-ray diffraction pattern of Na2CaNpO4 for copper Kα, from a crystal structure in Alexandria, relaxed with PBE.

Principal peaks in the range 10° ≤ 2θ ≤ 80°, by angle:
h k l  2theta  Rel. int.
0 0 1  15.8  64
1 0 0  15.9  100
1 0 -1  18.4  43
0 1 1  30.3  63
1 1 -1  31.7  43
0 0 2  31.8  21
2 0 0  32.1  22
1 1 1  36.8  66
2 0 -2  37.2  31
2 1 -1  40.5  20
1 1 -3  53.2  22
3 1 -1  53.5  20

```
data_Na2CaNpO4
_chemical_formula_sum 'Na2 Ca1 Np1 O4'
_symmetry_space_group_name_H-M 'P 1 2/m 1'
_symmetry_Int_Tables_number 10
_symmetry_space_group_name_Hall '-P 2y'
_cell_length_a 5.9082
_cell_length_b 3.4706
_cell_length_c 5.9521
_cell_angle_alpha 90.00
_cell_angle_beta 109.21
_cell_angle_gamma 90.00
loop_
_atom_site_label
_atom_site_type_symbol
_atom_site_fract_x
_atom_site_fract_y
_atom_site_fract_z
Na1 Na 0.0000 0.0000 0.0000
Na2 Na 0.0000 0.5000 0.5000
Ca1 Ca 0.5000 0.0000 0.5000
Np1 Np 0.5000 0.5000 0.0000
O1 O 0.2814 0.0000 0.7718
O2 O 0.2913 0.5000 0.2384
```

Theoretical powder X-ray diffraction pattern of ScCu22 for copper Kα, from a crystal structure in Alexandria, relaxed with PBE.

Principal peaks in the range 10° ≤ 2θ ≤ 80°, by angle:
h k l  2theta  Rel. int.
1 1 1  11.5  25
5 3 1  40.2  91
4 4 2  40.8  21
6 2 0  43.1  36
5 3 3  44.8  80
6 2 2  45.3  100
4 4 4  47.5  35
7 1 1  49.0  48
7 3 3  56.8  9
6 6 0  59.1  19
9 3 3  70.6  13
6 6 6  74.3  22

Cell: 13.2739 13.2739 13.2739 Å, 90.00 90.00 90.00°
Space group Fd-3m (No. 227, origin choice 2)
Asymmetric unit:
Sc1 0.1250 0.1250 0.1250 (multiplicity 8)
Cu1 0.0000 0.0000 0.0000 (multiplicity 16)
Cu2 0.0000 0.0000 0.5000 (multiplicity 16)
Cu3 0.0119 0.3750 0.8750 (multiplicity 48)
Cu4 0.0593 0.0593 0.3235 (multiplicity 96)

Theoretical powder X-ray diffraction pattern of MgSb2TeI for copper Kα, from a crystal structure in Alexandria, relaxed with PBE.

Principal peaks in the range 10° ≤ 2θ ≤ 80°, by angle:
h k l  2theta  Rel. int.
1 1 1  28.2  100
2 0 0  32.0  44
0 0 2  34.1  19
2 2 0  45.8  16
2 0 2  47.4  29
3 1 1  54.7  31
1 1 3  57.4  13
2 2 2  58.3  16
3 3 1  74.1  6
4 2 0  76.0  7
3 1 3  76.4  11
4 0 2  77.2  7

```
data_MgSb2TeI
_chemical_formula_sum 'Mg1 Sb2 Te1 I1'
_symmetry_space_group_name_H-M 'P 4/m m m'
_symmetry_Int_Tables_number 123
_symmetry_space_group_name_Hall '-P 4 2'
_cell_length_a 5.5996
_cell_length_b 5.5996
_cell_length_c 5.2658
_cell_angle_alpha 90.00
_cell_angle_beta 90.00
_cell_angle_gamma 90.00
loop_
_atom_site_label
_atom_site_type_symbol
_atom_site_fract_x
_atom_site_fract_y
_atom_site_fract_z
Mg1 Mg 0.0000 0.0000 0.0000
Sb1 Sb 0.0000 0.5000 0.0000
Te1 Te 0.5000 0.5000 0.5000
I1 I 0.0000 0.0000 0.5000
```

Theoretical powder X-ray diffraction pattern of ScCuS for copper Kα, from a crystal structure in Alexandria, relaxed with PBE.

Principal peaks in the range 10° ≤ 2θ ≤ 80°, by angle:
h k l  2theta  Rel. int.
0 0 3  10.0  100
0 1 2  26.3  14
0 0 9  30.4  5
0 1 5  30.6  14
1 0 7  34.9  21
0 1 8  37.4  19
1 1 0  44.7  34
0 1 11  45.7  14
1 1 3  46.0  15
1 0 13  51.9  6
1 1 9  55.0  5
1 1 12  62.2  6

```
data_ScCuS
_chemical_formula_sum 'Sc6 Cu6 S6'
_symmetry_space_group_name_H-M 'R -3 m'
_symmetry_Int_Tables_number 166
_symmetry_space_group_name_Hall '-R 3 2"'
_cell_length_a 4.0515
_cell_length_b 4.0515
_cell_length_c 26.4660
_cell_angle_alpha 90.00
_cell_angle_beta 90.00
_cell_angle_gamma 120.00
loop_
_atom_site_label
_atom_site_type_symbol
_atom_site_fract_x
_atom_site_fract_y
_atom_site_fract_z
Sc1 Sc 0.0000 0.0000 0.0674
Cu1 Cu 0.0000 0.0000 0.3246
S1 S 0.0000 0.0000 0.2294
```

Theoretical powder X-ray diffraction pattern of H8PtN2Cl2O2 for copper Kα, from a crystal structure in Alexandria, relaxed with PBE.

Principal peaks in the range 10° ≤ 2θ ≤ 80°, by angle:
h k l  2theta  Rel. int.
1 1 0  17.8  100
1 0 -1  18.9  17
1 0 1  19.3  22
0 2 0  23.3  25
0 0 2  27.1  8
2 0 -1  30.1  14
2 1 -1  32.4  9
1 1 2  32.8  19
1 3 0  37.9  19
3 1 -1  44.9  8
1 3 2  47.4  8
1 0 -4  57.4  8

```
data_H8PtN2Cl2O2
_chemical_formula_sum 'H16 Pt2 N4 Cl4 O4'
_symmetry_space_group_name_H-M 'P 1 21/m 1'
_symmetry_Int_Tables_number 11
_symmetry_space_group_name_Hall '-P 2yb'
_cell_length_a 6.5730
_cell_length_b 7.6430
_cell_length_c 6.5908
_cell_angle_alpha 90.00
_cell_angle_beta 91.20
_cell_angle_gamma 90.00
loop_
_atom_site_label
_atom_site_type_symbol
_atom_site_fract_x
_atom_site_fract_y
_atom_site_fract_z
H1 H 0.1137 0.0686 0.1488
H2 H 0.1459 0.0768 0.4020
H3 H 0.1633 0.7500 0.8977
H4 H 0.1804 0.2500 0.6995
H5 H 0.3475 0.0623 0.2535
Pt1 Pt 0.1995 0.7500 0.2731
N1 N 0.2002 0.0202 0.2697
Cl1 Cl 0.3494 0.7500 0.6010
Cl2 Cl 0.4831 0.2500 0.8844
O1 O 0.0540 0.7500 0.9979
O2 O 0.0752 0.2500 0.5908
```

Theoretical powder X-ray diffraction pattern of KBa2Rh for copper Kα, from a crystal structure in Alexandria, relaxed with PBE.

Principal peaks in the range 10° ≤ 2θ ≤ 80°, by angle:
h k l  2theta  Rel. int.
1 0 0  19.6  13
0 1 1  22.6  27
1 0 1  23.6  31
0 0 3  27.9  47
1 1 0  28.6  100
1 1 1  31.5  18
1 1 -3  36.8  30
2 0 -1  38.6  17
0 2 0  41.9  13
1 1 -4  43.7  37
2 0 -4  48.3  20
0 2 3  51.1  13

```
data_KBa2Rh
_chemical_formula_sum 'K1 Ba2 Rh1'
_symmetry_space_group_name_H-M 'P 1 m 1'
_symmetry_Int_Tables_number 6
_symmetry_space_group_name_Hall 'P -2y'
_cell_length_a 4.6687
_cell_length_b 4.3144
_cell_length_c 9.8729
_cell_angle_alpha 90.00
_cell_angle_beta 103.66
_cell_angle_gamma 90.00
loop_
_atom_site_label
_atom_site_type_symbol
_atom_site_fract_x
_atom_site_fract_y
_atom_site_fract_z
K1 K 0.0000 0.0000 0.0000
Ba1 Ba 0.3319 0.0000 0.6616
Ba2 Ba 0.6809 0.5000 0.3587
Rh1 Rh 0.8219 0.5000 0.6420
```

Theoretical powder X-ray diffraction pattern of La4Nd5Cd2 for copper Kα, from a crystal structure in Alexandria, relaxed with PBE.

Principal peaks in the range 10° ≤ 2θ ≤ 80°, by angle:
h k l  2theta  Rel. int.
1 1 1  28.1  33
1 1 -2  30.5  74
3 0 -1  30.6  99
1 1 2  31.4  55
1 0 -4  31.7  93
2 0 3  31.9  100
2 1 0  32.1  40
2 1 1  33.4  60
0 1 3  34.0  34
2 1 -2  35.0  45
1 1 5  48.5  37
2 2 3  61.2  37

```
data_La4Nd5Cd2
_chemical_formula_sum 'La4 Nd5 Cd2'
_symmetry_space_group_name_H-M 'P 1 2/m 1'
_symmetry_Int_Tables_number 10
_symmetry_space_group_name_Hall '-P 2y'
_cell_length_a 8.8859
_cell_length_b 3.5950
_cell_length_c 11.6419
_cell_angle_alpha 90.00
_cell_angle_beta 94.60
_cell_angle_gamma 90.00
loop_
_atom_site_label
_atom_site_type_symbol
_atom_site_fract_x
_atom_site_fract_y
_atom_site_fract_z
La1 La 0.1451 0.0000 0.3771
La2 La 0.2693 0.0000 0.9535
Nd1 Nd 0.2029 0.5000 0.6672
Nd2 Nd 0.4349 0.5000 0.2040
Nd3 Nd 0.5000 0.5000 0.5000
Cd1 Cd 0.0545 0.5000 0.1311
```